Record 1
Simulated PXRD pattern
Compound: RbNa2FeF6
Radiation: CuKα
Structure: the PBE+U geometry in the Materials Project
Intensities are scaled so that the largest is 100.

Atomic structure:
```
data_RbNa2FeF6
_symmetry_space_group_name_H-M 'P 1'
_symmetry_Int_Tables_number 1
_cell_length_a 6.280
_cell_length_b 6.280
_cell_length_c 6.280
_cell_angle_alpha 60.00
_cell_angle_beta 60.00
_cell_angle_gamma 60.00
loop_
_symmetry_equiv_pos_as_xyz
'x,y,z'
loop_
_atom_site_label
_atom_site_type_symbol
_atom_site_fract_x
_atom_site_fract_y
_atom_site_fract_z
_atom_site_occupancy
Rb1 Rb 0.000 0.000 0.000 1
Na1 Na 0.250 0.250 0.250 1
Na2 Na 0.750 0.750 0.750 1
Fe1 Fe 0.500 0.500 0.500 1
F1 F 0.289 0.289 0.711 1
F2 F 0.289 0.711 0.289 1
F3 F 0.289 0.711 0.711 1
F4 F 0.711 0.289 0.289 1
F5 F 0.711 0.289 0.711 1
F6 F 0.711 0.711 0.289 1
```

Most intense lines, 5° ≤ 2θ ≤ 70°, in order of rising 2θ:
| Position (°2θ) | I/Imax |
| --- | --- |
| 20.00 | 92 |
| 28.42 | 100 |
| 40.63 | 59 |
| 45.68 | 29 |
| 50.33 | 33 |
| 58.82 | 31 |

---

Record 2
Simulated PXRD pattern
Compound: NaZr2FeF11
Radiation: CuKα
Structure: the PBE+U geometry in the Materials Project
Intensities are scaled so that the largest is 100.

Atomic structure:
```
data_NaZr2FeF11
_symmetry_space_group_name_H-M 'P 1'
_symmetry_Int_Tables_number 1
_cell_length_a 5.777
_cell_length_b 5.777
_cell_length_c 7.937
_cell_angle_alpha 110.88
_cell_angle_beta 110.88
_cell_angle_gamma 73.06
loop_
_symmetry_equiv_pos_as_xyz
'x,y,z'
loop_
_atom_site_label
_atom_site_type_symbol
_atom_site_fract_x
_atom_site_fract_y
_atom_site_fract_z
_atom_site_occupancy
Na1 Na 0.000 0.000 0.000 1
Zr1 Zr 0.495 0.495 0.765 1
Zr2 Zr 0.505 0.505 0.235 1
Fe1 Fe 0.000 0.000 0.500 1
F1 F 0.193 0.777 0.692 1
F2 F 0.223 0.807 0.308 1
F3 F 0.247 0.247 0.648 1
F4 F 0.266 0.266 0.109 1
F5 F 0.330 0.670 0.000 1
F6 F 0.500 0.500 0.500 1
F7 F 0.670 0.330 0.000 1
F8 F 0.734 0.734 0.891 1
F9 F 0.753 0.753 0.352 1
F10 F 0.777 0.193 0.692 1
F11 F 0.807 0.223 0.308 1
```

Most intense lines, 5° ≤ 2θ ≤ 70°, in order of rising 2θ:
| Position (°2θ) | I/Imax |
| --- | --- |
| 16.72 | 37 |
| 21.35 | 74 |
| 25.92 | 100 |
| 43.48 | 31 |
| 45.72 | 40 |
| 53.30 | 17 |

---

Record 3
Simulated PXRD pattern
Compound: Nb3ZnFe3O12F2
Radiation: CuKα
Structure: the PBE+U geometry in the Materials Project
Intensities are scaled so that the largest is 100.

Atomic structure:
```
data_Nb3ZnFe3O12F2
_symmetry_space_group_name_H-M 'P 1'
_symmetry_Int_Tables_number 1
_cell_length_a 4.727
_cell_length_b 5.166
_cell_length_c 11.032
_cell_angle_alpha 92.79
_cell_angle_beta 90.32
_cell_angle_gamma 90.62
loop_
_symmetry_equiv_pos_as_xyz
'x,y,z'
loop_
_atom_site_label
_atom_site_type_symbol
_atom_site_fract_x
_atom_site_fract_y
_atom_site_fract_z
_atom_site_occupancy
Nb1 Nb 0.000 0.000 0.000 1
Nb2 Nb 0.002 0.054 0.499 1
Nb3 Nb 0.572 0.094 0.781 1
Zn1 Zn 0.989 0.536 0.341 1
Fe1 Fe 0.510 0.552 0.562 1
Fe2 Fe 0.525 0.067 0.254 1
Fe3 Fe 0.529 0.525 0.044 1
O1 O 0.197 0.689 0.001 1
O2 O 0.203 0.083 0.835 1
O3 O 0.215 0.198 0.346 1
O4 O 0.220 0.733 0.478 1
O5 O 0.254 0.214 0.095 1
O6 O 0.257 0.249 0.603 1
O7 O 0.702 0.867 0.109 1
O8 O 0.711 0.821 0.864 1
O9 O 0.712 0.910 0.618 1
O10 O 0.724 0.296 0.935 1
O11 O 0.748 0.351 0.460 1
O12 O 0.759 0.865 0.353 1
F1 F 0.717 0.389 0.199 1
F2 F 0.717 0.431 0.708 1
```

Most intense lines, 5° ≤ 2θ ≤ 70°, in order of rising 2θ:
| Position (°2θ) | I/Imax |
| --- | --- |
| 17.19 | 54 |
| 24.74 | 65 |
| 29.82 | 90 |
| 29.94 | 100 |
| 30.62 | 95 |
| 30.98 | 89 |

---

Record 4
Simulated PXRD pattern
Compound: Fe5O2F8
Radiation: CuKα
Structure: the PBE+U geometry in the Materials Project
Intensities are scaled so that the largest is 100.

Atomic structure:
```
data_Fe5O2F8
_symmetry_space_group_name_H-M 'P 1'
_symmetry_Int_Tables_number 1
_cell_length_a 7.917
_cell_length_b 4.861
_cell_length_c 10.710
_cell_angle_alpha 90.00
_cell_angle_beta 114.80
_cell_angle_gamma 90.00
loop_
_symmetry_equiv_pos_as_xyz
'x,y,z'
loop_
_atom_site_label
_atom_site_type_symbol
_atom_site_fract_x
_atom_site_fract_y
_atom_site_fract_z
_atom_site_occupancy
Fe1 Fe 0.000 0.000 0.000 1
Fe2 Fe 0.000 0.500 0.500 1
Fe3 Fe 0.206 0.016 0.817 1
Fe4 Fe 0.206 0.484 0.317 1
Fe5 Fe 0.386 0.026 0.595 1
Fe6 Fe 0.386 0.474 0.095 1
Fe7 Fe 0.614 0.526 0.905 1
Fe8 Fe 0.614 0.974 0.405 1
Fe9 Fe 0.794 0.516 0.683 1
Fe10 Fe 0.794 0.984 0.183 1
O1 O 0.213 0.175 0.975 1
O2 O 0.213 0.325 0.475 1
O3 O 0.787 0.675 0.525 1
O4 O 0.787 0.825 0.025 1
F1 F 0.015 0.217 0.186 1
F2 F 0.015 0.283 0.686 1
F3 F 0.188 0.682 0.143 1
F4 F 0.188 0.818 0.643 1
F5 F 0.375 0.698 0.918 1
F6 F 0.375 0.802 0.418 1
F7 F 0.417 0.199 0.789 1
F8 F 0.417 0.301 0.289 1
F9 F 0.583 0.699 0.711 1
F10 F 0.583 0.801 0.211 1
F11 F 0.625 0.198 0.582 1
F12 F 0.625 0.302 0.082 1
F13 F 0.812 0.182 0.357 1
F14 F 0.812 0.318 0.857 1
F15 F 0.985 0.717 0.314 1
F16 F 0.985 0.783 0.814 1
```

Most intense lines, 5° ≤ 2θ ≤ 70°, in order of rising 2θ:
| Position (°2θ) | I/Imax |
| --- | --- |
| 25.86 | 100 |
| 33.89 | 25 |
| 50.56 | 14 |
| 50.83 | 14 |
| 51.21 | 31 |
| 53.17 | 18 |

---

Record 5
Simulated PXRD pattern
Compound: Fe3O2F4
Radiation: CuKα
Structure: the PBE+U geometry in the Materials Project
Intensities are scaled so that the largest is 100.

Atomic structure:
```
data_Fe3O2F4
_symmetry_space_group_name_H-M 'P 1'
_symmetry_Int_Tables_number 1
_cell_length_a 4.745
_cell_length_b 4.745
_cell_length_c 9.419
_cell_angle_alpha 90.00
_cell_angle_beta 90.00
_cell_angle_gamma 90.00
loop_
_symmetry_equiv_pos_as_xyz
'x,y,z'
loop_
_atom_site_label
_atom_site_type_symbol
_atom_site_fract_x
_atom_site_fract_y
_atom_site_fract_z
_atom_site_occupancy
Fe1 Fe 0.000 0.000 0.000 1
Fe2 Fe 0.000 0.000 0.357 1
Fe3 Fe 0.000 0.000 0.643 1
Fe4 Fe 0.500 0.500 0.143 1
Fe5 Fe 0.500 0.500 0.500 1
Fe6 Fe 0.500 0.500 0.857 1
O1 O 0.214 0.214 0.500 1
O2 O 0.286 0.714 0.000 1
O3 O 0.714 0.286 0.000 1
O4 O 0.786 0.786 0.500 1
F1 F 0.194 0.194 0.172 1
F2 F 0.194 0.194 0.828 1
F3 F 0.306 0.694 0.328 1
F4 F 0.306 0.694 0.672 1
F5 F 0.694 0.306 0.328 1
F6 F 0.694 0.306 0.672 1
F7 F 0.806 0.806 0.172 1
F8 F 0.806 0.806 0.828 1
```

Most intense lines, 5° ≤ 2θ ≤ 70°, in order of rising 2θ:
| Position (°2θ) | I/Imax |
| --- | --- |
| 26.57 | 100 |
| 34.25 | 48 |
| 39.30 | 18 |
| 52.02 | 58 |
| 54.72 | 20 |
| 66.16 | 21 |

---

Record 6
Simulated PXRD pattern
Compound: Fe4OF7
Radiation: CuKα
Structure: the PBE+U geometry in the Materials Project
Intensities are scaled so that the largest is 100.

Atomic structure:
```
data_Fe4OF7
_symmetry_space_group_name_H-M 'P 1'
_symmetry_Int_Tables_number 1
_cell_length_a 6.368
_cell_length_b 4.854
_cell_length_c 4.854
_cell_angle_alpha 90.63
_cell_angle_beta 90.00
_cell_angle_gamma 90.00
loop_
_symmetry_equiv_pos_as_xyz
'x,y,z'
loop_
_atom_site_label
_atom_site_type_symbol
_atom_site_fract_x
_atom_site_fract_y
_atom_site_fract_z
_atom_site_occupancy
Fe1 Fe 0.000 0.000 0.000 1
Fe2 Fe 0.230 0.529 0.529 1
Fe3 Fe 0.500 0.026 0.026 1
Fe4 Fe 0.770 0.529 0.529 1
O1 O 0.000 0.714 0.714 1
F1 F 0.000 0.305 0.305 1
F2 F 0.256 0.227 0.814 1
F3 F 0.256 0.814 0.227 1
F4 F 0.500 0.332 0.332 1
F5 F 0.500 0.719 0.719 1
F6 F 0.744 0.227 0.814 1
F7 F 0.744 0.814 0.227 1
```

Most intense lines, 5° ≤ 2θ ≤ 70°, in order of rising 2θ:
| Position (°2θ) | I/Imax |
| --- | --- |
| 25.81 | 88 |
| 26.10 | 90 |
| 33.66 | 100 |
| 50.75 | 57 |
| 51.07 | 56 |
| 64.61 | 50 |